1.
# TaTlV2O8
Theoretical X-ray powder pattern, Cu Ka. Input: a crystal structure in the Materials Project, relaxed with PBE+U.
No peak broadening, texture or thermal motion is included.

Crystal structure
```
data_TaTlV2O8
_cell_length_a 15.135
_cell_length_b 5.679
_cell_length_c 9.126
_cell_angle_alpha 90.00
_cell_angle_beta 90.00
_cell_angle_gamma 90.00
_space_group_name_H-M_alt 'P n m a'
_space_group_IT_number 62
_space_group_name_Hall '-P 2ac 2n'
loop_
_atom_site_label
_atom_site_type_symbol
_atom_site_fract_x
_atom_site_fract_y
_atom_site_fract_z
Ta1 Ta 0.159 0.250 0.005
Tl1 Tl 0.105 0.250 0.560
V1 V 0.062 0.750 0.816
V2 V 0.160 0.750 0.256
O1 O 0.035 0.250 0.078
O2 O 0.040 0.750 0.637
O3 O 0.053 0.750 0.290
O4 O 0.126 0.005 0.858
O5 O 0.188 0.002 0.151
O6 O 0.219 0.750 0.425
```

Principal peaks in the range 2θ from 10° to 80°, low angle first:
19.5 deg, I = 68, (2 1 0); 23.5 deg, I = 26, (4 0 0); 25.5 deg, I = 29, (3 1 1); 25.7 deg, I = 21, (1 1 2); 27.7 deg, I = 100, (2 1 2); 30.7 deg, I = 12, (4 0 2); 31.1 deg, I = 12, (5 0 1); 31.5 deg, I = 28, (0 2 0); 39.1 deg, I = 14, (6 1 0); 46.0 deg, I = 17, (7 1 1); 49.6 deg, I = 11, (2 3 0); 53.8 deg, I = 16, (2 3 2)

---

2.
# Ta2VO6
Theoretical X-ray powder pattern, Cu Ka. Input: a crystal structure in the Materials Project, relaxed with PBE+U.
No peak broadening, texture or thermal motion is included.

Crystal structure
```
data_Ta2VO6
_cell_length_a 4.841
_cell_length_b 4.841
_cell_length_c 9.246
_cell_angle_alpha 90.00
_cell_angle_beta 90.00
_cell_angle_gamma 90.00
_space_group_name_H-M_alt 'P 42/m n m'
_space_group_IT_number 136
_space_group_name_Hall '-P 4n 2n'
loop_
_atom_site_label
_atom_site_type_symbol
_atom_site_fract_x
_atom_site_fract_y
_atom_site_fract_z
Ta1 Ta 0.000 0.000 0.169
V1 V 0.000 0.000 0.500
O1 O 0.185 0.185 0.000
O2 O 0.206 0.206 0.321
```

Principal peaks in the range 2θ from 10° to 80°, low angle first:
19.2 deg, I = 12, (0 0 2); 20.7 deg, I = 31, (1 0 1); 26.0 deg, I = 100, (1 1 0); 32.5 deg, I = 12, (1 1 2); 34.5 deg, I = 78, (1 0 3); 37.1 deg, I = 24, (2 0 0); 51.6 deg, I = 64, (2 1 3); 53.5 deg, I = 17, (2 2 0); 60.5 deg, I = 16, (3 1 0); 65.3 deg, I = 19, (3 0 3); 66.5 deg, I = 18, (1 1 6); 77.6 deg, I = 14, (3 2 3)

---

3.
# Ta9V2O25
Theoretical X-ray powder pattern, Cu Ka. Input: a crystal structure in the Materials Project, relaxed with PBE+U.
No peak broadening, texture or thermal motion is included.

Crystal structure
```
data_Ta9V2O25
_cell_length_a 15.926
_cell_length_b 15.926
_cell_length_c 3.986
_cell_angle_alpha 90.00
_cell_angle_beta 90.00
_cell_angle_gamma 90.00
_space_group_name_H-M_alt 'I 4/m'
_space_group_IT_number 87
_space_group_name_Hall '-I 4'
loop_
_atom_site_label
_atom_site_type_symbol
_atom_site_fract_x
_atom_site_fract_y
_atom_site_fract_z
Ta1 Ta 0.000 0.000 0.000
Ta2 Ta 0.099 0.222 0.000
Ta3 Ta 0.125 0.680 0.000
V1 V 0.000 0.500 0.250
O1 O 0.000 0.000 0.500
O2 O 0.015 0.720 0.000
O3 O 0.050 0.117 0.000
O4 O 0.060 0.416 0.500
O5 O 0.112 0.249 0.500
O6 O 0.150 0.662 0.500
O7 O 0.178 0.787 0.000
```

Principal peaks in the range 2θ from 10° to 80°, low angle first:
17.6 deg, I = 29, (1 3 0); 23.0 deg, I = 48, (1 0 1); 25.0 deg, I = 100, (2 4 0); 25.6 deg, I = 21, (1 2 1); 30.2 deg, I = 38, (2 3 1); 32.3 deg, I = 40, (1 4 1); 35.7 deg, I = 24, (6 2 0); 37.9 deg, I = 28, (5 2 1); 43.3 deg, I = 19, (3 7 0); 52.6 deg, I = 20, (2 4 2); 54.3 deg, I = 19, (3 8 1); 58.2 deg, I = 19, (7 6 1)

---

4.
# TaVO5
Theoretical X-ray powder pattern, Cu Ka. Input: a crystal structure in the Materials Project, relaxed with PBE+U.
No peak broadening, texture or thermal motion is included.

Crystal structure
```
data_TaVO5
_cell_length_a 13.924
_cell_length_b 5.584
_cell_length_c 14.051
_cell_angle_alpha 90.00
_cell_angle_beta 120.07
_cell_angle_gamma 90.00
_space_group_name_H-M_alt 'P 1 21/c 1'
_space_group_IT_number 14
_space_group_name_Hall '-P 2ybc'
loop_
_atom_site_label
_atom_site_type_symbol
_atom_site_fract_x
_atom_site_fract_y
_atom_site_fract_z
Ta1 Ta 0.057 0.244 0.357
Ta2 Ta 0.440 0.746 0.297
V1 V 0.153 0.737 0.560
V2 V 0.346 0.238 0.409
O1 O 0.005 0.525 0.265
O2 O 0.076 0.724 0.125
O3 O 0.120 0.538 0.964
O4 O 0.123 0.036 0.994
O5 O 0.204 0.243 0.868
O6 O 0.295 0.745 0.159
O7 O 0.370 0.530 0.864
O8 O 0.382 0.029 0.852
O9 O 0.426 0.248 0.052
O10 O 0.492 0.021 0.254
```

Principal peaks in the range 2θ from 10° to 80°, low angle first:
14.6 deg, I = 37, (0 0 2); 14.7 deg, I = 70, (2 0 0); 19.4 deg, I = 76, (3 0 -2); 20.3 deg, I = 100, (1 1 -2); 21.6 deg, I = 84, (2 1 -2); 25.1 deg, I = 34, (1 1 2); 25.2 deg, I = 36, (3 1 -2); 25.5 deg, I = 29, (2 0 2); 30.2 deg, I = 29, (2 1 2); 31.0 deg, I = 68, (1 1 -4); 32.1 deg, I = 30, (0 2 0); 33.8 deg, I = 47, (4 1 0)

---

5.
# TaVO5
Theoretical X-ray powder pattern, Cu Ka. Input: a crystal structure in the Materials Project, relaxed with PBE+U.
No peak broadening, texture or thermal motion is included.

Crystal structure
```
data_TaVO5
_cell_length_a 12.064
_cell_length_b 5.616
_cell_length_c 7.063
_cell_angle_alpha 90.00
_cell_angle_beta 90.00
_cell_angle_gamma 90.00
_space_group_name_H-M_alt 'P n m a'
_space_group_IT_number 62
_space_group_name_Hall '-P 2ac 2n'
loop_
_atom_site_label
_atom_site_type_symbol
_atom_site_fract_x
_atom_site_fract_y
_atom_site_fract_z
Ta1 Ta 0.059 0.250 0.157
V1 V 0.154 0.750 0.470
O1 O 0.000 0.000 0.000
O2 O 0.076 0.750 0.678
O3 O 0.124 0.001 0.340
O4 O 0.204 0.250 0.028
```

Principal peaks in the range 2θ from 10° to 80°, low angle first:
14.5 deg, I = 35, (1 0 1); 14.7 deg, I = 66, (2 0 0); 19.4 deg, I = 73, (2 0 1); 20.2 deg, I = 100, (0 1 1); 21.5 deg, I = 67, (1 1 1); 25.1 deg, I = 68, (2 1 1); 25.5 deg, I = 28, (3 0 1); 30.1 deg, I = 28, (3 1 1); 30.8 deg, I = 66, (1 1 2); 31.9 deg, I = 29, (0 2 0); 33.7 deg, I = 55, (4 1 0); 51.2 deg, I = 29, (1 2 3)

---

6.
# TaVZn2O6
Theoretical X-ray powder pattern, Cu Ka. Input: a crystal structure in the Materials Project, relaxed with PBE+U.
No peak broadening, texture or thermal motion is included.

Crystal structure
```
data_TaVZn2O6
_cell_length_a 5.273
_cell_length_b 7.689
_cell_length_c 5.347
_cell_angle_alpha 90.00
_cell_angle_beta 90.42
_cell_angle_gamma 90.00
_space_group_name_H-M_alt 'P 1 21/m 1'
_space_group_IT_number 11
_space_group_name_Hall '-P 2yb'
loop_
_atom_site_label
_atom_site_type_symbol
_atom_site_fract_x
_atom_site_fract_y
_atom_site_fract_z
Ta1 Ta 0.000 0.000 0.000
V1 V 0.500 0.000 0.500
Zn1 Zn 0.015 0.250 0.482
Zn2 Zn 0.491 0.750 0.050
O1 O 0.126 0.250 0.057
O2 O 0.166 0.565 0.317
O3 O 0.317 0.567 0.824
O4 O 0.386 0.250 0.576
```

Principal peaks in the range 2θ from 10° to 80°, low angle first:
16.6 deg, I = 37, (0 0 1); 16.8 deg, I = 38, (1 0 0); 33.3 deg, I = 99, (1 2 -1); 33.4 deg, I = 100, (1 2 1); 33.5 deg, I = 49, (0 0 2); 34.0 deg, I = 47, (2 0 0); 47.3 deg, I = 26, (0 4 0); 48.7 deg, I = 23, (2 0 2); 59.2 deg, I = 23, (0 4 2); 59.5 deg, I = 23, (2 4 0); 60.3 deg, I = 24, (3 2 -1); 60.6 deg, I = 24, (3 2 1)

---

7.
# Ta2VZn2O8
Theoretical X-ray powder pattern, Cu Ka. Input: a crystal structure in the Materials Project, relaxed with PBE+U.
No peak broadening, texture or thermal motion is included.

Crystal structure
```
data_Ta2VZn2O8
_cell_length_a 19.549
_cell_length_b 5.954
_cell_length_c 5.320
_cell_angle_alpha 90.00
_cell_angle_beta 90.08
_cell_angle_gamma 90.00
_space_group_name_H-M_alt 'C 1 2/c 1'
_space_group_IT_number 15
_space_group_name_Hall '-C 2yc'
loop_
_atom_site_label
_atom_site_type_symbol
_atom_site_fract_x
_atom_site_fract_y
_atom_site_fract_z
Ta1 Ta 0.116 0.155 0.268
V1 V 0.000 0.357 0.750
Zn1 Zn 0.218 0.347 0.771
O1 O 0.060 0.374 0.404
O2 O 0.071 0.114 0.934
O3 O 0.177 0.104 0.571
O4 O 0.194 0.350 0.143
```

Principal peaks in the range 2θ from 10° to 80°, low angle first:
15.6 deg, I = 22, (1 1 0); 18.2 deg, I = 29, (4 0 0); 22.9 deg, I = 43, (1 1 -1); 26.3 deg, I = 27, (3 1 1); 27.3 deg, I = 47, (5 1 0); 32.1 deg, I = 100, (5 1 -1); 33.7 deg, I = 36, (0 0 2); 34.5 deg, I = 55, (0 2 1); 43.9 deg, I = 24, (5 1 -2); 51.3 deg, I = 29, (8 2 1); 51.6 deg, I = 22, (5 3 0); 63.1 deg, I = 21, (5 3 -2)

---

8.
# TaWO7
Theoretical X-ray powder pattern, Cu Ka. Input: a crystal structure in the Materials Project, relaxed with PBE+U.
No peak broadening, texture or thermal motion is included.

Crystal structure
```
data_TaWO7
_cell_length_a 7.417
_cell_length_b 7.455
_cell_length_c 10.485
_cell_angle_alpha 90.00
_cell_angle_beta 90.00
_cell_angle_gamma 90.00
_space_group_name_H-M_alt 'I m m a'
_space_group_IT_number 74
_space_group_name_Hall '-I 2b 2'
loop_
_atom_site_label
_atom_site_type_symbol
_atom_site_fract_x
_atom_site_fract_y
_atom_site_fract_z
Ta1 Ta 0.000 0.000 0.000
W1 W 0.250 0.250 0.250
O1 O 0.000 0.250 0.307
O2 O 0.000 0.250 0.626
O3 O 0.000 0.250 0.939
O4 O 0.187 0.070 0.127
```

Principal peaks in the range 2θ from 10° to 80°, low angle first:
14.6 deg, I = 100, (0 1 1); 28.2 deg, I = 52, (2 1 1); 28.2 deg, I = 10, (1 0 3); 29.4 deg, I = 31, (0 2 2); 29.5 deg, I = 31, (2 0 2); 34.1 deg, I = 13, (2 2 0); 37.3 deg, I = 12, (3 0 1); 44.8 deg, I = 12, (0 3 3); 49.1 deg, I = 24, (4 0 0); 51.5 deg, I = 10, (2 3 3); 58.1 deg, I = 9, (2 4 2); 58.3 deg, I = 19, (0 2 6)